Structure and computed powder diffractogram of AcNd2Fe (the GGA-PBE geometry in Alexandria; Cu Kα, 1.54184 Å).

Structural model:
```
data_AcNd2Fe
_cell_length_a 3.754
_cell_length_b 3.754
_cell_length_c 32.923
_cell_angle_alpha 90.00
_cell_angle_beta 90.00
_cell_angle_gamma 120.00
_symmetry_space_group_name_H-M 'P 1'
_symmetry_Int_Tables_number 1
loop_
_symmetry_equiv_pos_as_xyz
'x,y,z'
loop_
_atom_site_label
_atom_site_type_symbol
_atom_site_fract_x
_atom_site_fract_y
_atom_site_fract_z
_atom_site_occupancy
Ac1 Ac 0.000 0.000 0.000 1
Ac2 Ac 0.333 0.667 0.667 1
Ac3 Ac 0.667 0.333 0.333 1
Nd1 Nd 0.000 0.000 0.113 1
Nd2 Nd 0.000 0.000 0.887 1
Nd3 Nd 0.333 0.667 0.554 1
Nd4 Nd 0.333 0.667 0.780 1
Nd5 Nd 0.667 0.333 0.220 1
Nd6 Nd 0.667 0.333 0.446 1
Fe1 Fe 0.000 0.000 0.500 1
Fe2 Fe 0.333 0.667 0.167 1
Fe3 Fe 0.667 0.333 0.833 1
```

Top 6 peaks for 10° ≤ 2θ ≤ 80°, sorted by position:
| 2θ (°) | I/Imax | (hkl) |
| --- | --- | --- |
| 24.3 | 63.2 | 0 0 9 |
| 27.6 | 100.0 | 1 0 1 |
| 28.0 | 70.0 | 0 1 2 |
| 35.2 | 99.2 | 0 1 8 |
| 38.9 | 63.6 | 1 0 10 |
| 48.5 | 48.3 | 1 1 0 |